Entry 1:
Structure and computed powder X-ray diffraction pattern of Tb2Ge4Os3 (a cell relaxed with PBE; Cu Kα (λ = 1.5418 Å)).
Neutral-atom scattering factors, no anomalous dispersion.

Structure:
```
data_Tb2Ge4Os3
_cell_length_a 7.931
_cell_length_b 6.857
_cell_length_c 5.586
_cell_angle_alpha 78.46
_cell_angle_beta 57.90
_cell_angle_gamma 43.64
_space_group_name_H-M_alt 'P 1'
_space_group_IT_number 1
loop_
_space_group_symop_operation_xyz
'x,y,z'
loop_
_atom_site_label
_atom_site_type_symbol
_atom_site_fract_x
_atom_site_fract_y
_atom_site_fract_z
Tb1 Tb 0.131 0.131 0.869
Tb2 Tb 0.869 0.869 0.131
Ge1 Ge 0.176 0.509 0.491
Ge2 Ge 0.491 0.824 0.176
Ge3 Ge 0.509 0.176 0.824
Ge4 Ge 0.824 0.491 0.509
Os1 Os 0.000 0.000 0.500
Os2 Os 0.500 0.500 0.000
Os3 Os 0.500 0.500 0.500
```

Top 12 peaks for 5 to 70 degrees two-theta, sorted by position:
2θ (°)  I (rel.)
14.12  92
28.28  35
37.06  28
37.40  54
38.77  100
39.84  31
40.17  60
40.55  27
43.27  29
43.61  33
62.00  25
67.01  26

Entry 2:
Structure and computed powder X-ray diffraction pattern of Pm3Dy3Sc2 (a cell relaxed with PBE; Cu Kα (λ = 1.5418 Å)).
Neutral-atom scattering factors, no anomalous dispersion.

Structure:
```
data_Pm3Dy3Sc2
_cell_length_a 4.971
_cell_length_b 5.002
_cell_length_c 9.846
_cell_angle_alpha 90.00
_cell_angle_beta 90.00
_cell_angle_gamma 90.00
_space_group_name_H-M_alt 'P 1'
_space_group_IT_number 1
loop_
_space_group_symop_operation_xyz
'x,y,z'
loop_
_atom_site_label
_atom_site_type_symbol
_atom_site_fract_x
_atom_site_fract_y
_atom_site_fract_z
Pm1 Pm 0.000 0.000 0.000
Pm2 Pm 0.000 0.000 0.500
Pm3 Pm 0.500 0.500 0.000
Dy1 Dy 0.000 0.500 0.252
Dy2 Dy 0.000 0.500 0.748
Dy3 Dy 0.500 0.500 0.500
Sc1 Sc 0.500 0.000 0.252
Sc2 Sc 0.500 0.000 0.748
```

Top 12 peaks for 5 to 70 degrees two-theta, sorted by position:
2θ (°)  I (rel.)
25.43  9
31.20  100
35.91  17
36.14  17
36.50  16
51.86  12
52.14  12
52.31  12
61.63  14
61.93  14
62.42  14
65.08  12

Entry 3:
Structure and computed powder X-ray diffraction pattern of CrIn2RuSe (a cell relaxed with PBE; Cu Kα (λ = 1.5418 Å)).
Neutral-atom scattering factors, no anomalous dispersion.

Structure:
```
data_CrIn2RuSe
_cell_length_a 5.185
_cell_length_b 5.185
_cell_length_c 4.361
_cell_angle_alpha 90.00
_cell_angle_beta 90.00
_cell_angle_gamma 90.00
_space_group_name_H-M_alt 'P 1'
_space_group_IT_number 1
loop_
_space_group_symop_operation_xyz
'x,y,z'
loop_
_atom_site_label
_atom_site_type_symbol
_atom_site_fract_x
_atom_site_fract_y
_atom_site_fract_z
Cr1 Cr 0.000 0.000 0.000
In1 In 0.000 0.500 0.000
In2 In 0.500 0.000 0.000
Ru1 Ru 0.000 0.000 0.500
Se1 Se 0.500 0.500 0.500
```

Top 12 peaks for 5 to 70 degrees two-theta, sorted by position:
2θ (°)  I (rel.)
17.10  11
20.37  6
31.89  100
34.60  68
38.84  3
40.48  4
41.41  20
49.74  23
55.04  34
60.31  31
66.66  19
69.58  10

Entry 4:
Structure and computed powder X-ray diffraction pattern of Pr2Sb3Rh4Pb (a cell relaxed with PBE; Cu Kα (λ = 1.5418 Å)).
Neutral-atom scattering factors, no anomalous dispersion.

Structure:
```
data_Pr2Sb3Rh4Pb
_cell_length_a 4.526
_cell_length_b 4.526
_cell_length_c 10.824
_cell_angle_alpha 90.00
_cell_angle_beta 90.00
_cell_angle_gamma 90.00
_space_group_name_H-M_alt 'P 1'
_space_group_IT_number 1
loop_
_space_group_symop_operation_xyz
'x,y,z'
loop_
_atom_site_label
_atom_site_type_symbol
_atom_site_fract_x
_atom_site_fract_y
_atom_site_fract_z
Pr1 Pr 0.000 0.500 0.243
Pr2 Pr 0.500 0.000 0.757
Sb1 Sb 0.000 0.500 0.872
Sb2 Sb 0.500 0.000 0.128
Sb3 Sb 0.500 0.500 0.500
Rh1 Rh 0.000 0.000 0.000
Rh2 Rh 0.000 0.500 0.636
Rh3 Rh 0.500 0.000 0.364
Rh4 Rh 0.500 0.500 0.000
Pb1 Pb 0.000 0.000 0.500
```

Top 12 peaks for 5 to 70 degrees two-theta, sorted by position:
2θ (°)  I (rel.)
16.38  8
31.72  46
32.50  100
39.83  63
43.81  29
46.50  22
51.79  23
57.60  21
58.75  12
62.85  17
67.71  24
69.47  6

Entry 5:
Structure and computed powder X-ray diffraction pattern of Na2O9 (a cell relaxed with PBE; Cu Kα (λ = 1.5418 Å)).
Neutral-atom scattering factors, no anomalous dispersion.

Structure:
```
data_Na2O9
_cell_length_a 4.900
_cell_length_b 10.865
_cell_length_c 14.585
_cell_angle_alpha 90.00
_cell_angle_beta 107.33
_cell_angle_gamma 90.00
_space_group_name_H-M_alt 'P 1'
_space_group_IT_number 1
loop_
_space_group_symop_operation_xyz
'x,y,z'
loop_
_atom_site_label
_atom_site_type_symbol
_atom_site_fract_x
_atom_site_fract_y
_atom_site_fract_z
Na1 Na 0.059 0.059 0.319
Na2 Na 0.059 0.441 0.819
Na3 Na 0.328 0.059 0.087
Na4 Na 0.328 0.441 0.587
Na5 Na 0.672 0.559 0.413
Na6 Na 0.672 0.941 0.913
Na7 Na 0.941 0.559 0.181
Na8 Na 0.941 0.941 0.681
O1 O 0.003 0.038 0.845
O2 O 0.003 0.462 0.345
O3 O 0.077 0.249 0.137
O4 O 0.077 0.251 0.637
O5 O 0.127 0.213 0.875
O6 O 0.127 0.287 0.375
O7 O 0.164 0.142 0.654
O8 O 0.164 0.358 0.154
O9 O 0.204 0.505 0.419
O10 O 0.204 0.995 0.919
O11 O 0.334 0.187 0.947
O12 O 0.334 0.313 0.447
O13 O 0.366 0.505 0.984
O14 O 0.366 0.995 0.484
O15 O 0.417 0.629 0.257
O16 O 0.417 0.871 0.757
O17 O 0.454 0.597 0.175
O18 O 0.454 0.903 0.675
O19 O 0.546 0.097 0.325
O20 O 0.546 0.403 0.825
O21 O 0.583 0.129 0.243
O22 O 0.583 0.371 0.743
O23 O 0.634 0.005 0.516
O24 O 0.634 0.495 0.016
O25 O 0.666 0.687 0.553
O26 O 0.666 0.813 0.053
O27 O 0.796 0.005 0.081
O28 O 0.796 0.495 0.581
O29 O 0.836 0.642 0.846
O30 O 0.836 0.858 0.346
O31 O 0.873 0.713 0.625
O32 O 0.873 0.787 0.125
O33 O 0.923 0.749 0.363
O34 O 0.923 0.751 0.863
O35 O 0.997 0.538 0.655
O36 O 0.997 0.962 0.155
```

Top 12 peaks for 5 to 70 degrees two-theta, sorted by position:
2θ (°)  I (rel.)
10.33  45
16.32  67
17.52  42
20.68  100
24.47  77
26.99  92
30.72  42
33.21  75
33.62  40
35.78  47
38.55  46
40.40  44

Entry 6:
Structure and computed powder X-ray diffraction pattern of DyTaTe (a cell relaxed with PBE; Cu Kα (λ = 1.5418 Å)).
Neutral-atom scattering factors, no anomalous dispersion.

Structure:
```
data_DyTaTe
_cell_length_a 3.534
_cell_length_b 3.534
_cell_length_c 13.599
_cell_angle_alpha 90.00
_cell_angle_beta 90.00
_cell_angle_gamma 120.00
_space_group_name_H-M_alt 'P 1'
_space_group_IT_number 1
loop_
_space_group_symop_operation_xyz
'x,y,z'
loop_
_atom_site_label
_atom_site_type_symbol
_atom_site_fract_x
_atom_site_fract_y
_atom_site_fract_z
Dy1 Dy 0.000 0.000 0.177
Dy2 Dy 0.000 0.000 0.823
Ta1 Ta 0.000 0.000 0.500
Ta2 Ta 0.333 0.667 0.000
Te1 Te 0.333 0.667 0.360
Te2 Te 0.333 0.667 0.640
```

Top 12 peaks for 5 to 70 degrees two-theta, sorted by position:
2θ (°)  I (rel.)
29.18  30
32.07  4
35.39  100
39.77  13
44.57  5
50.08  11
51.74  25
60.51  4
62.50  6
64.25  18
67.18  16
69.36  8